1.
# NaSr2Au3
Simulated X-ray powder pattern, Cu Kα (weighted mean of Kα1 and Kα2). Input: a DFT-relaxed cell (GGA-PBE, Alexandria).
Intensities are scaled so that the largest is 100.

Crystal structure
```
data_NaSr2Au3
_chemical_formula_sum 'Na4 Sr8 Au12'
_cell_length_a 8.071
_cell_length_b 4.348
_cell_length_c 18.450
_cell_angle_alpha 90.00
_cell_angle_beta 90.00
_cell_angle_gamma 90.00
_symmetry_space_group_name_H-M 'P n m a'
_symmetry_Int_Tables_number 62
_symmetry_space_group_name_Hall '-P 2ac 2n'
loop_
_atom_site_label
_atom_site_fract_x
_atom_site_fract_y
_atom_site_fract_z
Na1 0.014 0.250 0.064
Sr1 0.069 0.750 0.221
Sr2 0.144 0.750 0.433
Au1 0.117 0.750 0.658
Au2 0.228 0.750 0.813
Au3 0.240 0.250 0.559
```

Peak list (10 most intense, 15° ≤ 2θ ≤ 90°, most intense first)
2theta	I (rel.)	h k l
31.80	100	0 1 5
41.56	68	0 2 0
33.63	62	2 1 3
38.75	54	3 0 4
30.22	44	2 1 0
39.04	41	0 0 8
39.70	40	3 1 1
58.10	34	3 2 4
30.34	32	1 1 4
22.03	31	2 0 0

2.
# Na3Sr2Au2
Simulated X-ray powder pattern, Cu Kα (weighted mean of Kα1 and Kα2). Input: a DFT-relaxed cell (GGA-PBE, Alexandria).
Intensities are scaled so that the largest is 100.

Crystal structure
```
data_Na3Sr2Au2
_chemical_formula_sum 'Na6 Sr4 Au4'
_cell_length_a 11.573
_cell_length_b 4.497
_cell_length_c 8.544
_cell_angle_alpha 90.00
_cell_angle_beta 94.84
_cell_angle_gamma 90.00
_symmetry_space_group_name_H-M 'C 1 2/m 1'
_symmetry_Int_Tables_number 12
_symmetry_space_group_name_Hall '-C 2y'
loop_
_atom_site_label
_atom_site_fract_x
_atom_site_fract_y
_atom_site_fract_z
Na1 0.000 0.000 0.000
Na2 0.181 0.500 0.857
Sr1 0.126 0.500 0.369
Au1 0.088 0.000 0.639
```

Peak list (10 most intense, 15° ≤ 2θ ≤ 90°, most intense first)
2theta	I (rel.)	h k l
36.14	100	3 1 -2
23.37	94	1 1 -1
30.39	68	1 1 2
31.73	68	3 1 -1
29.45	60	1 1 -2
17.84	60	2 0 -1
38.47	56	3 1 2
33.04	54	3 1 1
21.21	48	1 1 0
40.10	44	0 2 0